For SrCr7N10, a cell relaxed with GGA-PBE gives the theoretical powder diffraction line list in this record (Cu Kα (weighted mean of Kα1 and Kα2)).
Lines closer than 0.1° are merged.

Structural model:
Unit cell a=7.0945 b=6.8598 c=10.2725 alpha=90.00 beta=104.53 gamma=90.00
Element x y z (fractional)
Sr (0.0000, 0.0307, 0.0000)
Sr (0.0000, 0.9693, 0.5000)
Cr (0.1872, 0.4144, 0.4658)
Cr (0.1872, 0.5856, 0.9658)
Cr (0.4038, 0.3855, 0.7913)
Cr (0.4038, 0.6145, 0.2913)
Cr (0.4503, 0.0210, 0.4056)
Cr (0.4503, 0.9790, 0.9056)
Cr (0.5514, 0.3806, 0.0844)
Cr (0.5514, 0.6194, 0.5844)
Cr (0.6350, 0.0164, 0.2230)
Cr (0.6350, 0.9836, 0.7230)
Cr (0.7708, 0.3871, 0.3669)
Cr (0.7708, 0.6129, 0.8669)
Cr (0.9563, 0.3480, 0.7042)
Cr (0.9563, 0.6520, 0.2042)
N (0.1699, 0.3953, 0.8394)
N (0.1699, 0.6047, 0.3394)
N (0.2637, 0.1833, 0.4152)
N (0.2637, 0.8167, 0.9152)
N (0.3416, 0.4965, 0.1247)
N (0.3416, 0.5035, 0.6247)
N (0.4386, 0.1330, 0.7554)
N (0.4386, 0.8670, 0.2554)
N (0.5181, 0.1215, 0.0593)
N (0.5181, 0.8785, 0.5593)
N (0.6231, 0.4503, 0.9309)
N (0.6231, 0.5497, 0.4309)
N (0.6592, 0.1533, 0.3831)
N (0.6592, 0.8467, 0.8831)
N (0.7788, 0.4663, 0.1953)
N (0.7788, 0.5337, 0.6953)
N (0.8481, 0.1167, 0.7268)
N (0.8481, 0.8833, 0.2268)
N (0.9722, 0.3613, 0.5281)
N (0.9722, 0.6387, 0.0281)

Most intense lines, 15 to 90 degrees two-theta, in order of rising 2θ:
- 18.9°, 4.703 Å, I 67
- 26.0°, 3.431 Å, I 100
- 27.9°, 3.201 Å, I 47
- 28.4°, 3.139 Å, I 74
- 29.1°, 3.071 Å, I 44
- 29.5°, 3.029 Å, I 82
- 29.9°, 2.985 Å, I 54
- 30.6°, 2.922 Å, I 59
- 37.6°, 2.391 Å, I 69
- 37.7°, 2.384 Å, I 84



For Ta3Cr3N, a cell relaxed with GGA-PBE gives the theoretical powder diffraction line list in this record (Cu Kα (weighted mean of Kα1 and Kα2)).
Lines closer than 0.1° are merged.

Structural model:
Unit cell a=8.1054 b=8.1054 c=8.1054 alpha=60.00 beta=60.00 gamma=60.00
Element x y z (fractional)
Ta (0.0684, 0.0684, 0.6816)
Ta (0.0684, 0.6816, 0.0684)
Ta (0.0684, 0.6816, 0.6816)
Ta (0.3184, 0.3184, 0.9316)
Ta (0.3184, 0.9316, 0.3184)
Ta (0.3184, 0.9316, 0.9316)
Ta (0.6816, 0.0684, 0.0684)
Ta (0.6816, 0.0684, 0.6816)
Ta (0.6816, 0.6816, 0.0684)
Ta (0.9316, 0.3184, 0.3184)
Ta (0.9316, 0.3184, 0.9316)
Ta (0.9316, 0.9316, 0.3184)
Cr (0.0000, 0.5000, 0.5000)
Cr (0.2962, 0.2962, 0.2962)
Cr (0.2962, 0.2962, 0.6113)
Cr (0.2962, 0.6113, 0.2962)
Cr (0.3887, 0.7038, 0.7038)
Cr (0.5000, 0.0000, 0.5000)
Cr (0.5000, 0.5000, 0.0000)
Cr (0.5000, 0.5000, 0.5000)
Cr (0.6113, 0.2962, 0.2962)
Cr (0.7038, 0.3887, 0.7038)
Cr (0.7038, 0.7038, 0.3887)
Cr (0.7038, 0.7038, 0.7038)
N (0.0000, 0.0000, 0.0000)
N (0.0000, 0.0000, 0.5000)
N (0.0000, 0.5000, 0.0000)
N (0.5000, 0.0000, 0.0000)

Most intense lines, 15 to 90 degrees two-theta, in order of rising 2θ:
- 31.2°, 2.866 Å, I 29
- 34.1°, 2.630 Å, I 32
- 38.5°, 2.340 Å, I 59
- 40.9°, 2.206 Å, I 100
- 44.7°, 2.026 Å, I 29
- 57.4°, 1.605 Å, I 18
- 66.8°, 1.400 Å, I 16
- 69.6°, 1.351 Å, I 51
- 71.2°, 1.324 Å, I 11
- 84.0°, 1.152 Å, I 16